This entry pairs a crystal structure of RbZn2HSe2O7 with its simulated X-ray diffraction stick pattern. Radiation: Cu Kα (weighted mean of Kα1 and Kα2). Structure: DFT lattice parameters and positions (GGA-PBE).

Crystal structure
```
26
Lattice="4.817 0.000 0.000 2.254 6.868 0.000 2.298 0.650 11.446" Properties=species:S:1:pos:R:3 pbc="T T T"
Rb 2.364 2.773 3.345
Rb 7.004 4.745 8.101
Zn 4.475 5.408 10.574
Zn 4.490 7.214 7.342
Zn 4.878 0.304 4.105
Zn 4.893 2.111 0.872
H 2.315 0.763 9.714
H 7.052 6.756 1.733
Se 4.767 5.285 4.823
Se 4.821 2.266 10.315
Se 4.547 5.252 1.131
Se 4.601 2.234 6.623
O 4.782 6.794 9.232
O 2.822 5.334 0.904
O 2.889 2.154 6.887
O 4.319 6.868 4.313
O 2.070 2.059 0.468
O 4.652 5.413 6.548
O 4.649 3.771 9.478
O 4.719 3.747 1.968
O 4.716 2.105 4.899
O 7.298 5.459 10.978
O 5.049 0.650 7.133
O 6.478 5.364 4.559
O 6.546 2.184 10.542
O 4.586 0.725 2.214
```

Peak list (10 most intense, 2θ = 10–90°, sorted by position)
| two_theta | I/Imax |
| --- | --- |
| 26.0 | 48 |
| 27.6 | 100 |
| 27.9 | 63 |
| 28.6 | 41 |
| 29.6 | 26 |
| 31.2 | 33 |
| 33.2 | 23 |
| 37.4 | 66 |
| 39.8 | 22 |
| 42.3 | 24 |

***

This entry pairs a crystal structure of TbAl2Hg with its simulated X-ray diffraction stick pattern. Radiation: Cu Kα (weighted mean of Kα1 and Kα2). Structure: DFT lattice parameters and positions (GGA-PBE).

Crystal structure
```
8
Lattice="4.802 0.000 0.000 0.000 5.541 3.176 0.000 -5.541 3.176" Properties=species:S:1:pos:R:3 pbc="T T T"
Tb 1.201 -3.706 3.176
Tb 3.602 3.706 3.176
Al 1.201 -0.821 4.644
Al 1.201 1.663 3.256
Al 3.602 -1.663 3.256
Al 3.602 0.821 4.644
Hg 1.201 -0.969 1.705
Hg 3.602 0.969 1.705
```

Peak list (10 most intense, 2θ = 10–90°, sorted by position)
| two_theta | I/Imax |
| --- | --- |
| 16.1 | 66 |
| 24.6 | 59 |
| 32.5 | 21 |
| 33.7 | 31 |
| 37.5 | 78 |
| 37.6 | 100 |
| 57.7 | 18 |
| 67.7 | 18 |
| 70.9 | 28 |
| 71.2 | 22 |